1.
For Dy2Ho3Er6, a crystal structure in Alexandria, relaxed with GGA-PBE gives the simulated X-ray diffraction stick pattern in this record (Cu Kα, 1.54184 Å).
No peak broadening, texture or thermal motion is included.

Atomic structure:
```
data_Dy2Ho3Er6
_space_group_name_H-M_alt 'R -3 m'
_space_group_IT_number 166
_space_group_name_Hall '-R 3 2"'
_cell_length_a 3.5113
_cell_length_b 3.5113
_cell_length_c 94.2941
_cell_angle_alpha 90.00
_cell_angle_beta 90.00
_cell_angle_gamma 120.00
loop_
_atom_site_label
_atom_site_fract_x
_atom_site_fract_y
_atom_site_fract_z
Dy1 0.0000 0.0000 0.0454
Ho1 0.0000 0.0000 0.2272
Ho2 0.0000 0.0000 0.5000
Er1 0.0000 0.0000 0.1364
Er2 0.0000 0.0000 0.3183
Er3 0.0000 0.0000 0.4092
```

Peak list (12 most intense, 2θ = 10–90°, by angle)
Position (°2θ)	I (rel.)
31.23	100
36.22	51
52.09	18
52.22	18
62.03	32
62.16	11
65.10	9
76.88	6
85.18	9
85.33	4
87.97	8
88.16	8

2.
For Pu6Sn, a crystal structure in Alexandria, relaxed with GGA-PBE gives the simulated X-ray diffraction stick pattern in this record (Cu Kα, 1.54184 Å).
No peak broadening, texture or thermal motion is included.

Atomic structure:
```
data_Pu6Sn
_space_group_name_H-M_alt 'I m -3 m'
_space_group_IT_number 229
_space_group_name_Hall '-I 4 2 3'
_cell_length_a 6.701
_cell_length_b 6.701
_cell_length_c 6.701
_cell_angle_alpha 90.00
_cell_angle_beta 90.00
_cell_angle_gamma 90.00
loop_
_atom_site_label
_atom_site_fract_x
_atom_site_fract_y
_atom_site_fract_z
Pu1 0.000 0.250 0.500
Sn1 0.000 0.000 0.000
```

Peak list (12 most intense, 2θ = 10–90°, by angle)
Position (°2θ)	I (rel.)
18.73	66
26.60	42
32.73	100
37.98	12
42.67	17
46.97	59
50.99	59
54.80	40
61.92	17
65.31	14
78.12	18
81.20	27

3.
For SmY3Sc2Te6, a crystal structure in Alexandria, relaxed with GGA-PBE gives the simulated X-ray diffraction stick pattern in this record (Cu Kα, 1.54184 Å).
No peak broadening, texture or thermal motion is included.

Atomic structure:
```
data_SmY3Sc2Te6
_space_group_name_H-M_alt 'C 1 2/m 1'
_space_group_IT_number 12
_cell_length_a 18.798
_cell_length_b 4.303
_cell_length_c 8.657
_cell_angle_alpha 90.00
_cell_angle_beta 102.92
_cell_angle_gamma 90.00
loop_
_space_group_symop_operation_xyz
'x,y,z'
'-x,-y,-z'
'-x,y,-z'
'x,-y,z'
'x+1/2,y+1/2,z'
'-x+1/2,-y+1/2,-z'
'-x+1/2,y+1/2,-z'
'x+1/2,-y+1/2,z'
loop_
_atom_site_label
_atom_site_fract_x
_atom_site_fract_y
_atom_site_fract_z
Sm1 0.000 0.000 0.000
Y1 0.000 0.000 0.500
Y2 0.159 0.500 0.831
Sc1 0.164 0.500 0.330
Te1 0.006 0.500 0.258
Te2 0.171 0.000 0.576
Te3 0.172 0.000 0.096
```

Peak list (12 most intense, 2θ = 10–90°, by angle)
Position (°2θ)	I (rel.)
25.31	5
29.26	100
41.74	37
41.97	37
51.59	6
51.98	19
60.68	12
68.61	15
68.94	16
76.05	5
76.50	7
76.58	6

4.
For NpIO5, a crystal structure in Alexandria, relaxed with GGA-PBE gives the simulated X-ray diffraction stick pattern in this record (Cu Kα, 1.54184 Å).
No peak broadening, texture or thermal motion is included.

Atomic structure:
```
data_NpIO5
_space_group_name_H-M_alt 'P n a 21'
_space_group_IT_number 33
_cell_length_a 14.014
_cell_length_b 6.099
_cell_length_c 5.612
_cell_angle_alpha 90.00
_cell_angle_beta 90.00
_cell_angle_gamma 90.00
loop_
_space_group_symop_operation_xyz
'x,y,z'
'-x,-y,z+1/2'
'-x+1/2,y+1/2,z+1/2'
'x+1/2,-y+1/2,z'
loop_
_atom_site_label
_atom_site_fract_x
_atom_site_fract_y
_atom_site_fract_z
Np1 0.029 0.249 0.000
I1 0.217 0.515 0.497
O1 0.011 0.015 0.209
O2 0.045 0.484 0.778
O3 0.140 0.746 0.422
O4 0.174 0.319 0.273
O5 0.176 0.109 0.839
```

Peak list (12 most intense, 2θ = 10–90°, by angle)
Position (°2θ)	I (rel.)
12.63	26
21.52	100
22.44	46
25.03	81
25.42	31
30.07	41
31.89	27
32.01	46
33.54	26
45.81	52
49.43	20
51.94	33

5.
For Sm9Er2Tm, a crystal structure in Alexandria, relaxed with GGA-PBE gives the simulated X-ray diffraction stick pattern in this record (Cu Kα, 1.54184 Å).
No peak broadening, texture or thermal motion is included.

Atomic structure:
```
data_Sm9Er2Tm
_space_group_name_H-M_alt 'P 4/m m m'
_space_group_IT_number 123
_space_group_name_Hall '-P 4 2'
_cell_length_a 5.083
_cell_length_b 5.083
_cell_length_c 15.246
_cell_angle_alpha 90.00
_cell_angle_beta 90.00
_cell_angle_gamma 90.00
loop_
_atom_site_label
_atom_site_fract_x
_atom_site_fract_y
_atom_site_fract_z
Sm1 0.000 0.000 0.000
Sm2 0.000 0.000 0.333
Sm3 0.000 0.500 0.166
Sm4 0.000 0.500 0.500
Er1 0.500 0.500 0.333
Tm1 0.500 0.500 0.000
```

Peak list (8 most intense, 2θ = 10–90°, by angle)
Position (°2θ)	I (rel.)
30.46	100
35.32	51
50.81	36
60.41	43
63.39	12
74.70	6
82.78	18
85.43	17

6.
For Ba2LiCa8, a crystal structure in Alexandria, relaxed with GGA-PBE gives the simulated X-ray diffraction stick pattern in this record (Cu Kα, 1.54184 Å).
No peak broadening, texture or thermal motion is included.

Atomic structure:
```
data_Ba2LiCa8
_space_group_name_H-M_alt 'P 4/m m m'
_space_group_IT_number 123
_space_group_name_Hall '-P 4 2'
_cell_length_a 5.668
_cell_length_b 5.668
_cell_length_c 15.433
_cell_angle_alpha 90.00
_cell_angle_beta 90.00
_cell_angle_gamma 90.00
loop_
_atom_site_label
_atom_site_fract_x
_atom_site_fract_y
_atom_site_fract_z
Ba1 0.000 0.000 0.191
Li1 0.000 0.000 0.500
Ca1 0.000 0.500 0.000
Ca2 0.000 0.500 0.377
Ca3 0.500 0.500 0.187
```

Peak list (12 most intense, 2θ = 10–90°, by angle)
Position (°2θ)	I (rel.)
11.47	18
15.63	24
22.93	16
25.04	57
28.23	100
28.93	25
31.57	50
43.34	31
45.25	18
52.65	23
54.19	29
71.90	16

7.
For PmLuInOs, a crystal structure in Alexandria, relaxed with GGA-PBE gives the simulated X-ray diffraction stick pattern in this record (Cu Kα, 1.54184 Å).
No peak broadening, texture or thermal motion is included.

Atomic structure:
```
data_PmLuInOs
_space_group_name_H-M_alt 'F -4 3 m'
_space_group_IT_number 216
_space_group_name_Hall 'F -4 2 3'
_cell_length_a 7.156
_cell_length_b 7.156
_cell_length_c 7.156
_cell_angle_alpha 90.00
_cell_angle_beta 90.00
_cell_angle_gamma 90.00
loop_
_atom_site_label
_atom_site_fract_x
_atom_site_fract_y
_atom_site_fract_z
Pm1 0.000 0.000 0.000
Lu1 0.000 0.000 0.500
In1 0.250 0.250 0.250
Os1 0.250 0.250 0.750
```

Peak list (10 most intense, 2θ = 10–90°, by angle)
Position (°2θ)	I (rel.)
21.51	3
35.48	100
41.87	2
51.06	18
56.02	1
63.71	37
68.09	1
75.10	11
79.19	1
85.91	16

8.
For Rb3Tb2Cl9, a crystal structure in Alexandria, relaxed with GGA-PBE gives the simulated X-ray diffraction stick pattern in this record (Cu Kα, 1.54184 Å).
No peak broadening, texture or thermal motion is included.

Atomic structure:
```
data_Rb3Tb2Cl9
_space_group_name_H-M_alt 'R -3 c'
_space_group_IT_number 167
_space_group_name_Hall '-R 3 2"c'
_cell_length_a 13.1360
_cell_length_b 13.1360
_cell_length_c 18.4869
_cell_angle_alpha 90.00
_cell_angle_beta 90.00
_cell_angle_gamma 120.00
loop_
_atom_site_label
_atom_site_fract_x
_atom_site_fract_y
_atom_site_fract_z
Rb1 0.0000 0.3318 0.2500
Tb1 0.0000 0.0000 0.1473
Cl1 0.0000 0.1531 0.7500
Cl2 0.0120 0.1826 0.4125
```

Peak list (12 most intense, 2θ = 10–90°, by angle)
Position (°2θ)	I (rel.)
12.34	20
13.48	80
20.74	37
23.46	86
24.82	24
28.35	27
30.85	100
32.09	36
34.42	25
40.13	52
47.01	23
47.98	41